1.
This entry pairs a crystal structure of ZrGeP2Ru with its theoretical powder X-ray diffraction pattern. Radiation: Cu Kα (weighted mean of Kα1 and Kα2). Structure: a crystal structure in Alexandria, relaxed with GGA-PBE.

a b c (Å): 4.4797 4.4797 5.2236
angles (deg): 90.00 90.00 90.00
Space group P4/mmm (No. 123)
Inequivalent atoms, fractional coordinates:
Zr1 0.0000 0.0000 0.0000
Ge1 0.5000 0.5000 0.0000
P1 0.0000 0.5000 0.5000
Ru1 0.5000 0.5000 0.5000

Principal peaks in the range 2θ = 5–70°, low angle first:
Position (°2θ)	I (rel.)	index
19.82	39.5	1 0 0
26.21	81.8	1 0 1
28.17	100.0	1 1 0
33.07	48.3	1 1 1
34.34	75.0	0 0 2
40.26	95.1	2 0 0
44.99	56.3	1 1 2
53.93	79.0	2 0 2

2.
This entry pairs a crystal structure of Ba9Cl14O2 with its theoretical powder X-ray diffraction pattern. Radiation: Cu Kα (weighted mean of Kα1 and Kα2). Structure: a crystal structure in Alexandria, relaxed with GGA-PBE.

a b c (Å): 8.8772 8.8772 12.4003
angles (deg): 90.00 90.00 120.00
Space group P-3 (No. 147)
Inequivalent atoms, fractional coordinates:
Ba1 0.0000 0.0000 0.0000
Ba2 0.0785 0.3735 0.3359
Ba3 0.3333 0.6667 0.0540
Cl1 0.0000 0.0000 0.2543
Cl2 0.0329 0.6757 0.9087
Cl3 0.0738 0.3874 0.5945
O1 0.3333 0.6667 0.2632

Principal peaks in the range 2θ = 5–70°, low angle first:
Position (°2θ)	I (rel.)	index
13.55	27.9	0 1 1
21.26	100.0	2 -1 1
21.50	36.8	0 0 3
30.77	20.9	1 2 0
31.63	19.4	3 -1 1
35.01	40.1	3 0 0
35.32	45.6	2 -1 4
37.85	24.3	1 2 3

3.
This entry pairs a crystal structure of Ta2GaTe4 with its theoretical powder X-ray diffraction pattern. Radiation: Cu Kα (weighted mean of Kα1 and Kα2). Structure: a crystal structure in Alexandria, relaxed with GGA-PBE.

a b c (Å): 7.9347 7.9347 20.5291
angles (deg): 90.00 90.00 120.00
Space group R3m (No. 160, hexagonal axes)
Inequivalent atoms, fractional coordinates:
Ta1 0.0000 0.0000 0.0000
Ta2 0.2105 0.4210 0.8107
Ga1 0.0000 0.0000 0.4847
Ga2 0.0000 0.0000 0.6240
Te1 0.0000 0.0000 0.2497
Te2 0.0000 0.0000 0.7541
Te3 0.1755 0.3509 0.0572
Te4 0.1827 0.3654 0.5629

Principal peaks in the range 2θ = 5–70°, low angle first:
Position (°2θ)	I (rel.)	index
12.94	14.6	0 0 3
13.59	33.2	1 0 1
31.33	100.0	0 2 4
37.41	17.3	0 1 8
38.86	21.8	2 1 4
41.58	14.6	0 3 3
44.04	37.4	2 0 8
45.74	31.8	2 2 0

4.
This entry pairs a crystal structure of LaTe7 with its theoretical powder X-ray diffraction pattern. Radiation: Cu Kα (weighted mean of Kα1 and Kα2). Structure: a crystal structure in Alexandria, relaxed with GGA-PBE.

a b c (Å): 9.7708 9.7708 9.7708
angles (deg): 90.00 90.00 90.00
Space group Fm-3m (No. 225)
Inequivalent atoms, fractional coordinates:
La1 0.0000 0.0000 0.0000
Te1 0.0000 0.0000 0.5000
Te2 0.0000 0.2500 0.2500

Principal peaks in the range 2θ = 5–70°, low angle first:
Position (°2θ)	I (rel.)	index
31.72	100.0	2 2 2
36.79	50.1	4 0 0
53.02	34.8	4 4 0
63.12	40.9	6 2 2
66.27	11.7	4 4 4

5.
This entry pairs a crystal structure of SiSF with its theoretical powder X-ray diffraction pattern. Radiation: Cu Kα (weighted mean of Kα1 and Kα2). Structure: a crystal structure in Alexandria, relaxed with GGA-PBE.

a b c (Å): 6.3673 6.3673 6.4970
angles (deg): 90.00 90.00 120.00
Space group P3_2 (No. 145)
Inequivalent atoms, fractional coordinates:
Si1 0.1484 0.7727 0.0000
S1 0.0169 0.5440 0.7323
F1 0.0093 0.6059 0.1990

Principal peaks in the range 2θ = 5–70°, low angle first:
Position (°2θ)	I (rel.)	index
16.07	52.5	1 0 0
21.13	100.0	1 0 1
28.03	60.0	1 1 0
31.98	38.0	1 0 2
32.47	27.8	2 0 0
39.64	24.3	2 -1 2
45.72	22.0	1 2 1
52.14	34.1	3 -1 2

6.
This entry pairs a crystal structure of Ag8GeTe6 with its theoretical powder X-ray diffraction pattern. Radiation: Cu Kα (weighted mean of Kα1 and Kα2). Structure: a crystal structure in Alexandria, relaxed with GGA-PBE.

a b c (Å): 8.1021 8.1736 8.2825
angles (deg): 62.04 62.16 63.38
Space group P1 (No. 1)
Inequivalent atoms, fractional coordinates:
Ag1 0.0000 0.0000 0.0000
Ag2 0.0092 0.3903 0.5343
Ag3 0.0932 0.7699 0.3720
Ag4 0.4259 0.6447 0.5352
Ag5 0.5385 0.9569 0.5377
Ag6 0.6800 0.2082 0.6981
Ag7 0.8310 0.7985 0.9222
Ag8 0.8457 0.1715 0.3117
Ge1 0.5075 0.5146 0.0225
Te1 0.0678 0.9959 0.5649
Te2 0.3384 0.3946 0.9191
Te3 0.4120 0.8891 0.9364
Te4 0.4139 0.3792 0.4025
Te5 0.7930 0.7262 0.3068
Te6 0.8902 0.4099 0.9147

Principal peaks in the range 2θ = 5–70°, low angle first:
Position (°2θ)	I (rel.)	index
24.76	42.0	0 2 1
24.97	36.1	2 0 1
25.77	100.0	0 0 2
26.03	75.7	2 0 0
33.35	67.4	1 3 1
39.27	37.9	0 3 2
42.66	49.9	0 2 -2
42.78	54.9	2 0 -2

7.
This entry pairs a crystal structure of Ce2GaS6 with its theoretical powder X-ray diffraction pattern. Radiation: Cu Kα (weighted mean of Kα1 and Kα2). Structure: a crystal structure in Alexandria, relaxed with GGA-PBE.

a b c (Å): 6.1388 6.1388 12.1340
angles (deg): 90.00 90.00 90.00
Space group P4_2/mnm (No. 136)
Inequivalent atoms, fractional coordinates:
Ce1 0.0000 0.0000 0.1690
Ga1 0.0000 0.0000 0.5000
S1 0.1896 0.1896 0.3513
S2 0.2066 0.2066 0.0000

Principal peaks in the range 2θ = 5–70°, low angle first:
Position (°2θ)	I (rel.)	index
20.46	100.0	1 1 0
26.39	61.2	1 0 3
30.20	16.0	1 1 3
39.68	81.2	2 1 3
41.61	24.1	2 2 0
46.80	14.0	3 1 0
49.74	18.0	1 1 6
49.95	33.1	3 0 3